Entry 1:
The following is a theoretical powder diffractogram of Cs4BaPa3S12. It was derived from a DFT-relaxed cell (GGA-PBE, Alexandria), using a wavelength of 1.5418 Å.
No peak broadening, texture or thermal motion is included.

Principal peaks in the range 10 to 80 degrees two-theta, by angle:
2θ (°)	I (rel.)	h k l
16.13	144	2 0 0
22.88	1000	2 2 0
32.59	427	4 0 0
40.19	465	4 2 2
46.75	300	4 4 0
52.67	226	6 2 0
58.15	103	4 4 4
63.32	259	6 4 2
73.05	125	6 6 0
77.71	132	8 4 0

Atomic structure:
a b c (Å): 10.9914 10.9914 10.9914
angles (deg): 90.00 90.00 90.00
Space group Im-3m (No. 229)
Symmetry-distinct sites (fractional):
Cs (0.2500, 0.2500, 0.2500)
Ba (0.0000, 0.0000, 0.0000)
Pa (0.0000, 0.0000, 0.5000)
S (0.0000, 0.0000, 0.2727)
S (0.0000, 0.2500, 0.5000)

Entry 2:
The following is a theoretical powder diffractogram of Cs3Sb2Te4. It was derived from a DFT-relaxed cell (GGA-PBE, Alexandria), using a wavelength of 1.5418 Å.
No peak broadening, texture or thermal motion is included.

Principal peaks in the range 10 to 80 degrees two-theta, by angle:
2θ (°)	I (rel.)	h k l
12.17	244	2 0 0
19.29	178	2 2 -1
20.27	342	3 1 -1
23.03	423	3 1 1
24.45	466	2 0 2
26.16	339	0 4 0
27.51	1000	1 3 -2
31.45	236	5 1 0
31.83	222	0 2 3
50.89	165	1 7 -2

Atomic structure:
a b c (Å): 14.7473 13.6246 9.3871
angles (deg): 90.00 99.49 90.00
Space group C2/c (No. 15)
Symmetry-distinct sites (fractional):
Cs (0.0000, 0.1190, 0.2500)
Cs (0.1457, 0.3776, 0.6354)
Sb (0.1886, 0.1292, 0.8978)
Te (0.1225, 0.3258, 0.0419)
Te (0.1721, 0.0596, 0.6051)

Entry 3:
The following is a theoretical powder diffractogram of Tb8Y3Er3. It was derived from a DFT-relaxed cell (GGA-PBE, Alexandria), using a wavelength of 1.5418 Å.
No peak broadening, texture or thermal motion is included.

Principal peaks in the range 10 to 80 degrees two-theta, by angle:
2θ (°)	I (rel.)	h k l
10.13	126	0 1 1
29.99	225	1 1 4
30.71	208	0 3 3
31.94	1000	2 0 0
34.09	398	1 0 5
44.91	147	2 3 3
56.93	128	3 3 2
58.32	85	3 0 5
61.28	93	2 6 0
62.61	94	1 6 5

Atomic structure:
a b c (Å): 5.6020 10.7819 14.8923
angles (deg): 90.00 90.00 90.00
Space group Immm (No. 71)
Symmetry-distinct sites (fractional):
Tb (0.0000, 0.1595, 0.1035)
Tb (0.0000, 0.3414, 0.2779)
Y (0.0000, 0.0000, 0.3197)
Y (0.0000, 0.5000, 0.0000)
Er (0.0000, 0.2038, 0.5000)
Er (0.0000, 0.5000, 0.5000)

Entry 4:
The following is a theoretical powder diffractogram of Li3Ac2Pd6. It was derived from a DFT-relaxed cell (GGA-PBE, Alexandria), using a wavelength of 1.5418 Å.
No peak broadening, texture or thermal motion is included.

Principal peaks in the range 10 to 80 degrees two-theta, by angle:
2θ (°)	I (rel.)	h k l
12.22	256	1 1 0
14.34	194	0 2 0
29.65	447	2 0 1
32.48	1000	1 3 1
33.08	167	2 2 1
37.24	609	3 3 0
44.01	273	0 6 0
44.43	207	0 0 2
46.30	271	4 0 1
59.32	313	3 3 2

Atomic structure:
a b c (Å): 8.9440 12.3503 4.0783
angles (deg): 90.00 90.00 90.00
Space group Cmmm (No. 65)
Symmetry-distinct sites (fractional):
Li (0.0000, 0.0000, 0.0000)
Li (0.1803, 0.0000, 0.5000)
Ac (0.0000, 0.3175, 0.5000)
Pd (0.1464, 0.5000, 0.0000)
Pd (0.1581, 0.1651, 0.0000)

Entry 5:
The following is a theoretical powder diffractogram of TlGaSi2. It was derived from a DFT-relaxed cell (GGA-PBE, Alexandria), using a wavelength of 1.5418 Å.
No peak broadening, texture or thermal motion is included.

Principal peaks in the range 10 to 80 degrees two-theta, by angle:
2θ (°)	I (rel.)	h k l
16.73	235	1 0 1
26.12	1000	1 1 2
30.03	214	2 0 0
34.57	116	2 1 1
42.98	179	2 2 0
43.48	352	2 0 4
50.99	321	3 1 2
51.87	154	1 1 6
69.57	127	3 1 6
79.12	114	4 2 4

Atomic structure:
a b c (Å): 5.9518 5.9518 11.6466
angles (deg): 90.00 90.00 90.00
Space group I-42d (No. 122)
Symmetry-distinct sites (fractional):
Tl (0.0000, 0.0000, 0.0000)
Ga (0.0000, 0.0000, 0.5000)
Si (0.2118, 0.2500, 0.6250)

Entry 6:
The following is a theoretical powder diffractogram of LiCa2AcIn2. It was derived from a DFT-relaxed cell (GGA-PBE, Alexandria), using a wavelength of 1.5418 Å.
No peak broadening, texture or thermal motion is included.

Principal peaks in the range 10 to 80 degrees two-theta, by angle:
2θ (°)	I (rel.)	h k l
23.54	1000	1 0 3
26.00	332	1 1 0
27.83	330	1 1 2
30.81	340	1 0 5
37.09	280	2 0 0
39.80	335	0 0 8
44.40	376	2 1 3
48.97	209	2 1 5
59.24	175	1 0 11
71.99	197	2 1 11

Atomic structure:
a b c (Å): 4.8473 4.8473 18.1130
angles (deg): 90.00 90.00 90.00
Space group I4/mmm (No. 139)
Symmetry-distinct sites (fractional):
Li (0.0000, 0.0000, 0.0000)
Ca (0.0000, 0.5000, 0.2500)
Ac (0.0000, 0.0000, 0.5000)
In (0.0000, 0.0000, 0.1335)